Starting from a crystal structure in Alexandria, relaxed with GGA-PBE, the PXRD pattern of TbNd5Tm2Sc was calculated for Cu Ka.
Lines closer than 0.1° are merged.

a b c (Å): 11.233 11.233 10.260
angles (deg): 90.00 90.00 152.41
Fractional positions:
Tb (0.101, 0.899, 0.500)
Tb (0.899, 0.101, 0.000)
Nd (0.000, 0.000, 0.250)
Nd (0.000, 0.000, 0.750)
Nd (0.126, 0.874, 0.000)
Nd (0.221, 0.779, 0.312)
Nd (0.221, 0.779, 0.687)
Nd (0.499, 0.501, 0.500)
Nd (0.501, 0.499, 0.000)
Nd (0.779, 0.221, 0.187)
Nd (0.779, 0.221, 0.812)
Nd (0.874, 0.126, 0.500)
Tm (0.384, 0.616, 0.247)
Tm (0.385, 0.615, 0.753)
Tm (0.615, 0.385, 0.253)
Tm (0.616, 0.384, 0.747)
Sc (0.286, 0.714, 0.999)
Sc (0.714, 0.286, 0.499)

Main lines, sorted by position (2θ = 10–90°):
two_theta  intensity
27.01  35
31.68  100
32.84  14
33.45  40
34.98  17
49.18  14
58.69  17
60.57  12


Starting from a crystal structure in Alexandria, relaxed with GGA-PBE, the PXRD pattern of TbNdTm2Sc2 was calculated for Cu Ka.
Lines closer than 0.1° are merged.

a b c (Å): 6.739 9.510 5.474
angles (deg): 90.00 90.00 90.00
Fractional positions:
Tb (0.000, 0.000, 0.000)
Tb (0.500, 0.500, 0.500)
Nd (0.000, 0.500, 0.500)
Nd (0.500, 0.000, 0.000)
Tm (0.248, 0.166, 0.500)
Tm (0.252, 0.666, 0.000)
Tm (0.748, 0.334, 0.000)
Tm (0.752, 0.834, 0.500)
Sc (0.250, 0.333, 0.000)
Sc (0.250, 0.833, 0.500)
Sc (0.750, 0.167, 0.500)
Sc (0.750, 0.667, 0.000)

Main lines, sorted by position (2θ = 10–90°):
two_theta  intensity
22.91  24
32.61  100
32.72  20
40.28  6
46.81  22
58.22  19
58.34  15
64.97  16